Entry 1:
This entry pairs a crystal structure of LiBiF2 with its computed powder diffraction line list. Radiation: Cu Kα (λ = 1.5418 Å). Structure: the GGA-PBE geometry in the Materials Project.
Lines closer than 0.1° are merged.

Cell and atoms:
Cell: 6.9079 6.9079 6.9079 Å, 107.68 107.68 113.11°
Fractional positions:
1 Li 0.0000 0.0000 0.0000
2 Li 0.5000 0.0000 0.0000
3 Li 0.5000 0.0000 0.5000
4 Li 0.5000 0.5000 0.5000
5 Bi 0.0000 0.0000 0.5000
6 Bi 0.0000 0.5000 0.0000
7 Bi 0.0000 0.5000 0.5000
8 Bi 0.5000 0.5000 0.0000
9 F 0.1821 0.2018 0.3310
10 F 0.2982 0.1292 0.9803
11 F 0.3511 0.6821 0.4803
12 F 0.3708 0.8511 0.1690
13 F 0.6292 0.1489 0.8310
14 F 0.6489 0.3179 0.5197
15 F 0.7018 0.8708 0.0197
16 F 0.8179 0.7982 0.6690

Most intense lines, 10 to 80 degrees two-theta, low angle first:
2θ = 15.93°, intensity 100; 2θ = 27.12°, intensity 82; 2θ = 31.03°, intensity 66; 2θ = 32.17°, intensity 92; 2θ = 35.06°, intensity 29; 2θ = 41.67°, intensity 22; 2θ = 43.44°, intensity 26; 2θ = 47.51°, intensity 20; 2θ = 55.93°, intensity 52; 2θ = 58.07°, intensity 23

---

Entry 2:
This entry pairs a crystal structure of LiBiF4 with its computed powder diffraction line list. Radiation: Cu Kα (λ = 1.5418 Å). Structure: the GGA-PBE geometry in the Materials Project.
Lines closer than 0.1° are merged.

Cell and atoms:
Cell: 6.8031 6.8031 6.8031 Å, 133.55 133.55 67.79°
Fractional positions:
1 Li 0.3750 0.1250 0.2500
2 Li 0.6250 0.8750 0.7500
3 Bi 0.1250 0.3750 0.7500
4 Bi 0.8750 0.6250 0.2500
5 F 0.1339 0.3223 0.3661
6 F 0.1777 0.0438 0.8116
7 F 0.2678 0.6339 0.3116
8 F 0.4562 0.7678 0.1339
9 F 0.5438 0.2322 0.8661
10 F 0.7322 0.3661 0.6884
11 F 0.8223 0.9562 0.1884
12 F 0.8661 0.6777 0.6339

Most intense lines, 10 to 80 degrees two-theta, low angle first:
2θ = 18.31°, intensity 100; 2θ = 28.34°, intensity 76; 2θ = 28.97°, intensity 24; 2θ = 33.40°, intensity 14; 2θ = 38.35°, intensity 36; 2θ = 43.47°, intensity 15; 2θ = 44.79°, intensity 26; 2θ = 46.71°, intensity 25; 2θ = 54.41°, intensity 14; 2θ = 56.64°, intensity 26

---

Entry 3:
This entry pairs a crystal structure of LiBiF5 with its computed powder diffraction line list. Radiation: Cu Kα (λ = 1.5418 Å). Structure: the GGA-PBE geometry in the Materials Project.
Lines closer than 0.1° are merged.

Cell and atoms:
Cell: 5.4374 5.4374 5.4374 Å, 99.59 99.59 131.83°
Fractional positions:
1 Li 0.0000 0.0000 0.0000
2 Bi 0.7500 0.2500 0.5000
3 F 0.0215 0.1372 0.6961
4 F 0.2500 0.7500 0.5000
5 F 0.4411 0.3254 0.3039
6 F 0.6746 0.9785 0.1157
7 F 0.8628 0.5589 0.8843

Most intense lines, 10 to 80 degrees two-theta, low angle first:
2θ = 17.87°, intensity 91; 2θ = 23.72°, intensity 100; 2θ = 25.37°, intensity 43; 2θ = 35.01°, intensity 45; 2θ = 40.64°, intensity 48; 2θ = 43.73°, intensity 20; 2θ = 44.73°, intensity 20; 2θ = 51.24°, intensity 25; 2θ = 58.02°, intensity 18; 2θ = 58.84°, intensity 38

---

Entry 4:
This entry pairs a crystal structure of Na2LiBiF6 with its computed powder diffraction line list. Radiation: Cu Kα (λ = 1.5418 Å). Structure: the GGA-PBE geometry in the Materials Project.
Lines closer than 0.1° are merged.

Cell and atoms:
Cell: 6.0422 6.0422 6.0422 Å, 60.00 60.00 60.00°
Fractional positions:
1 Na 0.2500 0.2500 0.2500
2 Na 0.7500 0.7500 0.7500
3 Li 0.0000 0.0000 0.0000
4 Bi 0.5000 0.5000 0.5000
5 F 0.2371 0.2371 0.7629
6 F 0.2371 0.7629 0.2371
7 F 0.2371 0.7629 0.7629
8 F 0.7629 0.2371 0.2371
9 F 0.7629 0.2371 0.7629
10 F 0.7629 0.7629 0.2371

Most intense lines, 10 to 80 degrees two-theta, low angle first:
2θ = 17.98°, intensity 100; 2θ = 20.79°, intensity 63; 2θ = 29.57°, intensity 63; 2θ = 34.82°, intensity 70; 2θ = 42.31°, intensity 34; 2θ = 46.31°, intensity 36; 2θ = 47.59°, intensity 28; 2θ = 52.46°, intensity 27; 2θ = 55.91°, intensity 23; 2θ = 64.52°, intensity 22

---

Repeat the first record exactly.
This entry pairs a crystal structure of LiBiF2 with its computed powder diffraction line list. Radiation: Cu Kα (λ = 1.5418 Å). Structure: the GGA-PBE geometry in the Materials Project.
Lines closer than 0.1° are merged.

Cell and atoms:
Cell: 6.9079 6.9079 6.9079 Å, 107.68 107.68 113.11°
Fractional positions:
1 Li 0.0000 0.0000 0.0000
2 Li 0.5000 0.0000 0.0000
3 Li 0.5000 0.0000 0.5000
4 Li 0.5000 0.5000 0.5000
5 Bi 0.0000 0.0000 0.5000
6 Bi 0.0000 0.5000 0.0000
7 Bi 0.0000 0.5000 0.5000
8 Bi 0.5000 0.5000 0.0000
9 F 0.1821 0.2018 0.3310
10 F 0.2982 0.1292 0.9803
11 F 0.3511 0.6821 0.4803
12 F 0.3708 0.8511 0.1690
13 F 0.6292 0.1489 0.8310
14 F 0.6489 0.3179 0.5197
15 F 0.7018 0.8708 0.0197
16 F 0.8179 0.7982 0.6690

Most intense lines, 10 to 80 degrees two-theta, low angle first:
2θ = 15.93°, intensity 100; 2θ = 27.12°, intensity 82; 2θ = 31.03°, intensity 66; 2θ = 32.17°, intensity 92; 2θ = 35.06°, intensity 29; 2θ = 41.67°, intensity 22; 2θ = 43.44°, intensity 26; 2θ = 47.51°, intensity 20; 2θ = 55.93°, intensity 52; 2θ = 58.07°, intensity 23